Record 1
Theoretical powder X-ray diffraction pattern
Compound: Cd4InPb2
Radiation: Cu Kα, 1.54184 Å
Structure: a structure optimized by DFT (PBE)

Crystal structure
Unit cell a=3.2861 b=34.0380 c=3.2806 alpha=90.00 beta=90.00 gamma=90.00
Space group Cmmm (No. 65)
Symmetry-distinct sites (fractional):
Cd1 0.0000 0.0689 0.0000 (multiplicity 4)
Cd2 0.0000 0.3687 0.5000 (multiplicity 4)
In1 0.0000 0.5000 0.5000 (multiplicity 2)
Pb1 0.0000 0.2042 0.0000 (multiplicity 4)

Largest 8 diffraction maxima, low angle first, 2θ from 10° to 90°:
- (0 12 0), 31.52°, intensity 22
- (1 7 0), 32.90°, intensity 100
- (0 8 1), 34.52°, intensity 72
- (0 14 0), 36.97°, intensity 23
- (1 1 1), 38.88°, intensity 54
- (1 15 1), 56.73°, intensity 44
- (1 7 2), 66.55°, intensity 25
- (2 8 1), 67.44°, intensity 20

---

Record 2
Theoretical powder X-ray diffraction pattern
Compound: SrPmPuN3
Radiation: Cu Kα, 1.54184 Å
Structure: a structure optimized by DFT (PBE)

Crystal structure
Unit cell a=7.7226 b=3.6817 c=8.6055 alpha=90.00 beta=99.59 gamma=90.00
Space group P2_1/m (No. 11)
Symmetry-distinct sites (fractional):
Sr1 0.1715 0.2500 0.1433 (multiplicity 2)
Pm1 0.3862 0.7500 0.8422 (multiplicity 2)
Pu1 0.0522 0.2500 0.5888 (multiplicity 2)
N1 0.0978 0.2500 0.8226 (multiplicity 2)
N2 0.2060 0.7500 0.5722 (multiplicity 2)
N3 0.4073 0.7500 0.1174 (multiplicity 2)

Largest 8 diffraction maxima, low angle first, 2θ from 10° to 90°:
- (1 0 0), 11.62°, intensity 42
- (1 0 -1), 14.28°, intensity 100
- (1 0 1), 16.89°, intensity 20
- (2 0 -2), 28.78°, intensity 33
- (1 1 1), 29.64°, intensity 23
- (0 1 2), 32.19°, intensity 51
- (2 1 0), 33.87°, intensity 42
- (2 1 3), 49.84°, intensity 18

---

Record 3
Theoretical powder X-ray diffraction pattern
Compound: Pm2Al5Cu3
Radiation: Cu Kα, 1.54184 Å
Structure: a structure optimized by DFT (PBE)

Crystal structure
Unit cell a=10.4221 b=11.8823 c=5.9647 alpha=90.00 beta=90.00 gamma=90.00
Space group Ibam (No. 72)
Symmetry-distinct sites (fractional):
Pm1 0.2435 0.1306 0.0000 (multiplicity 8)
Al1 0.0000 0.0000 0.2500 (multiplicity 4)
Al2 0.0000 0.2535 0.2500 (multiplicity 8)
Al3 0.1440 0.3902 0.0000 (multiplicity 8)
Cu1 0.0000 0.5000 0.2500 (multiplicity 4)
Cu2 0.1245 0.1268 0.5000 (multiplicity 8)

Largest 8 diffraction maxima, low angle first, 2θ from 10° to 90°:
- (1 2 1), 22.78°, intensity 38
- (3 2 1), 33.44°, intensity 100
- (2 0 2), 34.66°, intensity 55
- (2 4 0), 34.76°, intensity 55
- (0 4 2), 42.97°, intensity 58
- (5 2 1), 48.75°, intensity 38
- (3 2 3), 55.45°, intensity 23
- (3 6 1), 55.60°, intensity 24

---

Record 4
Theoretical powder X-ray diffraction pattern
Compound: InPbCl
Radiation: Cu Kα, 1.54184 Å
Structure: a structure optimized by DFT (PBE)

Crystal structure
Unit cell a=3.5803 b=6.0016 c=15.4149 alpha=90.00 beta=90.00 gamma=90.00
Space group Fmm2 (No. 42)
Symmetry-distinct sites (fractional):
In1 0.0000 0.0000 0.0000 (multiplicity 4)
Pb1 0.0000 0.0000 0.6878 (multiplicity 4)
Cl1 0.0000 0.0000 0.3581 (multiplicity 4)

Largest 8 diffraction maxima, low angle first, 2θ from 10° to 90°:
- (0 0 2), 11.48°, intensity 29
- (0 0 4), 23.08°, intensity 23
- (1 1 1), 29.63°, intensity 30
- (0 2 0), 29.77°, intensity 37
- (1 1 3), 33.98°, intensity 100
- (0 0 6), 34.92°, intensity 21
- (2 0 0), 51.01°, intensity 25
- (1 3 3), 55.58°, intensity 24

---

Record 5
Theoretical powder X-ray diffraction pattern
Compound: La7Nd2Er
Radiation: Cu Kα, 1.54184 Å
Structure: a structure optimized by DFT (PBE)

Crystal structure
Unit cell a=9.0348 b=3.5315 c=12.0259 alpha=90.00 beta=111.49 gamma=90.00
Space group P2/m (No. 10)
Symmetry-distinct sites (fractional):
La1 0.0000 0.0000 0.0000 (multiplicity 1)
La2 0.1901 0.0000 0.3071 (multiplicity 2)
La3 0.2220 0.0000 0.8085 (multiplicity 2)
La4 0.3924 0.5000 0.1118 (multiplicity 2)
Nd1 0.3959 0.0000 0.6020 (multiplicity 2)
Er1 0.0000 0.5000 0.5000 (multiplicity 1)

Largest 8 diffraction maxima, low angle first, 2θ from 10° to 90°:
- (1 1 1), 29.64°, intensity 61
- (1 0 -4), 29.73°, intensity 100
- (3 0 -2), 29.97°, intensity 89
- (2 0 2), 30.94°, intensity 71
- (2 1 -1), 32.17°, intensity 26
- (2 1 -3), 36.14°, intensity 36
- (1 0 6), 54.18°, intensity 24
- (3 2 -2), 60.99°, intensity 22

---

Record 6
Theoretical powder X-ray diffraction pattern
Compound: Nd6TlS4
Radiation: Cu Kα, 1.54184 Å
Structure: a structure optimized by DFT (PBE)

Crystal structure
Unit cell a=4.0928 b=13.6874 c=20.9641 alpha=90.00 beta=90.00 gamma=90.00
Space group Cmcm (No. 63)
Symmetry-distinct sites (fractional):
Nd1 0.0000 0.0000 0.0000 (multiplicity 4)
Nd2 0.0000 0.1586 0.2500 (multiplicity 4)
Nd3 0.0000 0.2719 0.5816 (multiplicity 8)
Nd4 0.0000 0.4617 0.1564 (multiplicity 8)
Tl1 0.0000 0.1605 0.7500 (multiplicity 4)
S1 0.0000 0.0954 0.1223 (multiplicity 8)
S2 0.0000 0.3629 0.0398 (multiplicity 8)

Largest 8 diffraction maxima, low angle first, 2θ from 10° to 90°:
- (1 1 4), 28.43°, intensity 56
- (0 2 6), 28.69°, intensity 82
- (1 3 1), 29.63°, intensity 28
- (1 3 2), 30.56°, intensity 100
- (0 6 4), 43.31°, intensity 35
- (2 0 0), 44.26°, intensity 28
- (0 6 5), 45.30°, intensity 28
- (2 2 6), 53.60°, intensity 31

---

Record 7
Theoretical powder X-ray diffraction pattern
Compound: Nd2AgHPd6
Radiation: Cu Kα, 1.54184 Å
Structure: a structure optimized by DFT (PBE)

Crystal structure
Unit cell a=9.6758 b=5.8351 c=7.1263 alpha=90.00 beta=116.21 gamma=90.00
Space group C2/m (No. 12)
Symmetry-distinct sites (fractional):
Nd1 0.2479 0.0000 0.1854 (multiplicity 4)
Ag1 0.0000 0.5000 0.0000 (multiplicity 2)
H1 0.0000 0.0000 0.5000 (multiplicity 2)
Pd1 0.0645 0.2567 0.3552 (multiplicity 8)
Pd2 0.2056 0.0000 0.7193 (multiplicity 4)

Largest 8 diffraction maxima, low angle first, 2θ from 10° to 90°:
- (0 2 1), 33.77°, intensity 42
- (2 2 0), 37.13°, intensity 68
- (4 0 -1), 37.38°, intensity 75
- (2 0 -3), 37.93°, intensity 45
- (4 0 -2), 38.50°, intensity 32
- (2 2 -2), 40.83°, intensity 100
- (2 0 2), 41.85°, intensity 29
- (2 2 1), 43.08°, intensity 33

---

Record 8
Theoretical powder X-ray diffraction pattern
Compound: Ca2Ac6Pr
Radiation: Cu Kα, 1.54184 Å
Structure: a structure optimized by DFT (PBE)

Crystal structure
Unit cell a=8.5967 b=16.5558 c=5.8082 alpha=90.00 beta=90.00 gamma=90.00
Space group Cmmm (No. 65)
Symmetry-distinct sites (fractional):
Ca1 0.0000 0.2178 0.0000 (multiplicity 4)
Ac1 0.2079 0.3576 0.5000 (multiplicity 8)
Ac2 0.2346 0.5000 0.0000 (multiplicity 4)
Pr1 0.0000 0.0000 0.5000 (multiplicity 2)

Largest 8 diffraction maxima, low angle first, 2θ from 10° to 90°:
- (0 0 1), 15.25°, intensity 28
- (2 0 0), 20.66°, intensity 53
- (1 3 1), 24.54°, intensity 30
- (0 4 1), 26.44°, intensity 86
- (2 2 1), 27.98°, intensity 75
- (0 0 2), 30.79°, intensity 53
- (2 4 1), 33.79°, intensity 100
- (2 6 2), 50.33°, intensity 26

---

Record 9
Theoretical powder X-ray diffraction pattern
Compound: Ce7PmOs2
Radiation: Cu Kα, 1.54184 Å
Structure: a structure optimized by DFT (PBE)

Crystal structure
Unit cell a=8.4017 b=14.0015 c=5.3658 alpha=90.00 beta=90.00 gamma=90.00
Space group Cmmm (No. 65)
Symmetry-distinct sites (fractional):
Ce1 0.0000 0.0000 0.0000 (multiplicity 2)
Ce2 0.0000 0.2072 0.5000 (multiplicity 4)
Ce3 0.1677 0.3743 0.0000 (multiplicity 8)
Pm1 0.0000 0.5000 0.5000 (multiplicity 2)
Os1 0.0000 0.1890 0.0000 (multiplicity 4)

Largest 8 diffraction maxima, low angle first, 2θ from 10° to 90°:
- (0 0 1), 16.52°, intensity 70
- (2 0 0), 21.15°, intensity 41
- (0 4 1), 30.49°, intensity 36
- (0 0 2), 33.37°, intensity 100
- (1 5 0), 33.74°, intensity 39
- (3 1 1), 36.76°, intensity 52
- (3 3 0), 37.45°, intensity 43
- (3 3 2), 51.04°, intensity 37

---

Record 10
Theoretical powder X-ray diffraction pattern
Compound: Pr3PN5
Radiation: Cu Kα, 1.54184 Å
Structure: a structure optimized by DFT (PBE)

Crystal structure
Unit cell a=6.8155 b=6.8155 c=10.9301 alpha=90.00 beta=90.00 gamma=90.00
Space group I4/mcm (No. 140)
Symmetry-distinct sites (fractional):
Pr1 0.0000 0.0000 0.2500 (multiplicity 4)
Pr2 0.1802 0.3198 0.0000 (multiplicity 8)
P1 0.0000 0.5000 0.2500 (multiplicity 4)
N1 0.0000 0.0000 0.0000 (multiplicity 4)
N2 0.1339 0.3661 0.3446 (multiplicity 16)

Largest 8 diffraction maxima, low angle first, 2θ from 10° to 90°:
- (1 1 2), 24.63°, intensity 29
- (2 1 1), 30.45°, intensity 55
- (2 0 2), 30.92°, intensity 100
- (0 0 4), 32.77°, intensity 35
- (2 2 0), 37.32°, intensity 24
- (2 1 3), 38.51°, intensity 54
- (3 1 0), 41.92°, intensity 28
- (2 0 6), 57.35°, intensity 20

---

Record 11
Theoretical powder X-ray diffraction pattern
Compound: Ho3Tm9In2
Radiation: Cu Kα, 1.54184 Å
Structure: a structure optimized by DFT (PBE)

Crystal structure
Unit cell a=5.1298 b=12.1345 c=13.3514 alpha=90.00 beta=90.00 gamma=90.00
Space group Immm (No. 71)
Symmetry-distinct sites (fractional):
Ho1 0.0000 0.0000 0.0000 (multiplicity 2)
Ho2 0.0000 0.2928 0.0000 (multiplicity 4)
Tm1 0.0000 0.0000 0.5000 (multiplicity 2)
Tm2 0.0000 0.1350 0.2635 (multiplicity 8)
Tm3 0.0000 0.3648 0.3856 (multiplicity 8)
In1 0.0000 0.5000 0.1605 (multiplicity 4)

Largest 8 diffraction maxima, low angle first, 2θ from 10° to 90°:
- (1 2 3), 30.40°, intensity 22
- (1 3 2), 31.18°, intensity 100
- (0 4 2), 32.42°, intensity 24
- (1 1 4), 32.85°, intensity 81
- (2 0 0), 34.99°, intensity 85
- (0 4 6), 50.89°, intensity 18
- (1 7 4), 63.09°, intensity 32
- (2 4 6), 63.25°, intensity 19

---

Record 12
Theoretical powder X-ray diffraction pattern
Compound: CdSiTeMoHW
Radiation: Cu Kα, 1.54184 Å
Structure: a structure optimized by DFT (PBE)

Crystal structure
Unit cell a=3.4769 b=3.2922 c=17.6206 alpha=90.00 beta=90.00 gamma=90.00
Space group Amm2 (No. 38)
Symmetry-distinct sites (fractional):
Cd1 0.0000 0.0000 0.0000 (multiplicity 2)
Si1 0.0000 0.0000 0.8440 (multiplicity 2)
Te1 0.0000 0.0000 0.1635 (multiplicity 2)
Mo1 0.5000 0.0000 0.7451 (multiplicity 2)
H1 0.5000 0.0000 0.4948 (multiplicity 2)
W1 0.5000 0.0000 0.3917 (multiplicity 2)

Largest 8 diffraction maxima, low angle first, 2θ from 10° to 90°:
- (0 0 2), 10.04°, intensity 39
- (1 0 2), 27.58°, intensity 85
- (0 1 3), 31.14°, intensity 50
- (0 1 5), 37.38°, intensity 70
- (1 1 1), 37.98°, intensity 100
- (1 0 6), 40.19°, intensity 87
- (1 1 3), 40.75°, intensity 56
- (1 2 6), 71.02°, intensity 32

---

Record 13
Theoretical powder X-ray diffraction pattern
Compound: In2PbI6
Radiation: Cu Kα, 1.54184 Å
Structure: a structure optimized by DFT (PBE)

Crystal structure
Unit cell a=8.2310 b=8.2310 c=20.7804 alpha=90.00 beta=90.00 gamma=120.00
Space group R3 (No. 146, hexagonal axes)
Symmetry-distinct sites (fractional):
In1 0.0000 0.0000 0.0000 (multiplicity 3)
In2 0.0000 0.0000 0.1991 (multiplicity 3)
Pb1 0.0000 0.0000 0.8073 (multiplicity 3)
I1 0.0176 0.6246 0.7460 (multiplicity 9)
I2 0.0875 0.3516 0.5776 (multiplicity 9)

Largest 8 diffraction maxima, low angle first, 2θ from 10° to 90°:
- (1 0 1), 13.13°, intensity 63
- (0 1 5), 24.80°, intensity 24
- (2 -1 3), 25.17°, intensity 100
- (2 0 2), 26.44°, intensity 38
- (0 2 4), 30.41°, intensity 31
- (2 -1 6), 33.83°, intensity 55
- (3 0 0), 37.86°, intensity 39
- (1 2 5), 39.88°, intensity 34